This entry pairs a crystal structure of Ce2Al3Pt4 with its simulated X-ray diffraction stick pattern. Radiation: Cu Kα. Structure: a DFT-relaxed cell (PBE, Alexandria).

Largest 6 diffraction maxima, sorted by position, 2θ = 10–90°:
2θ (°)  intensity
26.4  50
33.4  49
34.8  100
35.6  74
37.8  64
39.7  100

Structure:
```
Ce2Al3Pt4
1.0
2.853 -7.824 0.000
2.853 7.824 0.000
0.000 0.000 7.486
Ce Al Pt
4 6 8
Cartesian
2.853 6.164 6.790
2.853 1.660 3.047
2.853 -1.660 4.439
2.853 -6.164 0.696
0.000 0.000 3.743
1.427 3.589 5.615
1.427 -3.589 1.872
2.853 0.000 0.000
4.280 3.589 5.615
4.280 -3.589 1.872
2.853 5.024 3.948
1.427 0.992 5.615
1.427 -0.992 1.872
2.853 2.800 0.205
2.853 -2.800 7.281
4.280 0.992 5.615
4.280 -0.992 1.872
2.853 -5.024 3.538
```